For CuAg, a PBE-relaxed structure gives the calculated X-ray diffraction stick pattern in this record (Cu Kα (weighted mean of Kα1 and Kα2)).
Lines closer than 0.1° are merged.

Largest 8 diffraction maxima, by intensity, 2θ = 10–90°:
Position (°2θ), I_rel
39.95, 100
46.37, 42
39.83, 34
46.56, 23
81.60, 21
67.67, 19
67.91, 13
81.42, 7

Structural model:
```
CuAg
1.0
2.397 -6.918 0.000
2.397 6.918 0.000
-1.574 0.000 4.511
Cu Ag
5 5
direct
0.000 0.000 0.000
0.095 0.905 0.500
0.604 0.396 0.000
0.809 0.191 0.000
0.908 0.092 0.500
0.193 0.807 0.000
0.304 0.696 0.500
0.406 0.594 0.000
0.509 0.491 0.500
0.707 0.293 0.500
```